Diffraction record for SrZn5. The XRD peak list is calculated, not measured: it uses DFT lattice parameters and positions (GGA-PBE) and λ = 1.5418 Å (Cu Kα).

Top 8 peaks for 2θ = 10–80°, low angle first:
(1 1 2), 31.93 deg, I 100; (4 1 0), 32.13 deg, I 44; (3 0 2), 33.14 deg, I 63; (2 2 1), 39.32 deg, I 91; (3 2 1), 42.32 deg, I 46; (5 0 2), 43.30 deg, I 44; (1 1 3), 43.74 deg, I 43; (1 2 2), 44.07 deg, I 43

Cell and atoms:
Cell lengths 13.1672, 5.2320, 6.8615 Å; angles 90.00, 90.00, 90.00 degrees
Space group Pnma (No. 62)
Inequivalent atoms, fractional coordinates:
Sr  0.0895  0.2500  0.1466 (multiplicity 4)
Zn  0.0218  0.7500  0.4057 (multiplicity 4)
Zn  0.1429  0.5019  0.6528 (multiplicity 8)
Zn  0.2056  0.7500  0.9579 (multiplicity 4)
Zn  0.2141  0.7500  0.3391 (multiplicity 4)

Diffraction record for Lu2ZnS4. The XRD peak list is calculated, not measured: it uses DFT lattice parameters and positions (GGA-PBE) and λ = 1.5418 Å (Cu Kα).

Top 8 peaks for 2θ = 10–80°, low angle first:
(1 0 1), 15.63 deg, I 27; (1 1 1), 19.42 deg, I 56; (3 0 1), 24.60 deg, I 39; (2 2 0), 26.68 deg, I 36; (3 1 1), 27.21 deg, I 57; (1 2 1), 27.95 deg, I 63; (2 2 2), 39.45 deg, I 100; (6 2 0), 47.28 deg, I 34

Cell and atoms:
Cell lengths 13.2992, 7.7272, 6.2680 Å; angles 90.00, 90.00, 90.00 degrees
Space group Pnma (No. 62)
Inequivalent atoms, fractional coordinates:
Lu  0.0000  0.0000  0.0000 (multiplicity 4)
Lu  0.2351  0.2500  0.4983 (multiplicity 4)
Zn  0.0918  0.7500  0.4123 (multiplicity 4)
S  0.0716  0.2500  0.7462 (multiplicity 4)
S  0.0904  0.7500  0.7791 (multiplicity 4)
S  0.1684  0.5099  0.2416 (multiplicity 8)